No. 1
For Sn2PdAu, a cell relaxed with GGA-PBE gives the simulated PXRD pattern in this record (copper Kα).
Neutral-atom scattering factors, no anomalous dispersion.

Atomic structure:
Unit cell a=4.1504 b=4.1504 c=18.1973 alpha=90.00 beta=90.00 gamma=120.00
Space group R3m (No. 160, hexagonal axes)
Unique sites:
Sn  0.0000  0.0000  0.0000 x3
Sn  0.0000  0.0000  0.1821 x3
Pd  0.0000  0.0000  0.5882 x3
Au  0.0000  0.0000  0.4238 x3

Top 8 peaks for 10° ≤ 2θ ≤ 90°, by angle:
2theta, intensity, index
25.3, 31, 1 0 1
26.7, 39, 0 1 2
31.7, 29, 1 0 4
35.1, 100, 0 1 5
42.9, 43, 1 0 7
43.6, 75, 1 1 0
57.2, 25, 2 0 5
78.0, 24, 1 1 12



No. 2
For K4VBr6, a cell relaxed with GGA-PBE gives the simulated PXRD pattern in this record (copper Kα).
Neutral-atom scattering factors, no anomalous dispersion.

Atomic structure:
Unit cell a=9.0031 b=9.0031 c=9.3843 alpha=90.00 beta=90.00 gamma=90.00
Space group P4/mnc (No. 128)
Unique sites:
K  0.1787  0.3213  0.2500 x8
V  0.0000  0.0000  0.0000 x2
Br  0.0000  0.0000  0.2827 x4
Br  0.0823  0.7105  0.0000 x8

Top 8 peaks for 10° ≤ 2θ ≤ 90°, by angle:
2theta, intensity, index
13.6, 54, 1 0 1
24.1, 32, 2 1 1
29.2, 100, 2 1 2
30.2, 33, 1 0 3
31.4, 70, 3 1 0
32.9, 41, 3 1 1
34.0, 38, 2 2 2
38.4, 29, 0 0 4



What is the formula in the first record?
Sn2PdAu